Record 1
This entry pairs a crystal structure of CsHg2S2 with its calculated powder XRD pattern. Radiation: Cu Kα (weighted mean of Kα1 and Kα2). Structure: a crystal structure in Alexandria, relaxed with GGA-PBE.

Peak list (6 most intense, 2θ = 10–90°, most intense first)
12.01 deg, I 100
24.15 deg, I 71
28.41 deg, I 62
34.48 deg, I 50
26.12 deg, I 41
32.16 deg, I 37

Crystal structure
```
data_CsHg2S2
_chemical_formula_sum 'Cs2 Hg4 S4'
_space_group_name_H-M_alt 'P 1'
_space_group_IT_number 1
_cell_length_a 7.8935
_cell_length_b 7.8935
_cell_length_c 8.0463
_cell_angle_alpha 93.60
_cell_angle_beta 93.60
_cell_angle_gamma 41.23
loop_
_space_group_symop_operation_xyz
'x,y,z'
loop_
_atom_site_label
_atom_site_fract_x
_atom_site_fract_y
_atom_site_fract_z
_atom_site_occupancy
Cs1 0.2054 0.7946 0.7500 1
Cs2 0.7946 0.2054 0.2500 1
Hg1 0.2256 0.3134 0.1007 1
Hg2 0.3134 0.2256 0.6007 1
Hg3 0.6866 0.7744 0.3993 1
Hg4 0.7744 0.6866 0.8993 1
S1 0.1468 0.5647 0.3743 1
S2 0.4353 0.8532 0.1257 1
S3 0.5647 0.1468 0.8743 1
S4 0.8532 0.4353 0.6257 1
```

***

Record 2
This entry pairs a crystal structure of Nd2Y3Th3 with its calculated powder XRD pattern. Radiation: Cu Kα (weighted mean of Kα1 and Kα2). Structure: a crystal structure in Alexandria, relaxed with GGA-PBE.

Peak list (6 most intense, 2θ = 10–90°, most intense first)
29.89 deg, I 100
31.18 deg, I 64
38.78 deg, I 56
33.22 deg, I 32
58.85 deg, I 30
59.10 deg, I 28

Crystal structure
```
data_Nd2Y3Th3
_chemical_formula_sum 'Nd2 Y3 Th3'
_space_group_name_H-M_alt 'P 1'
_space_group_IT_number 1
_cell_length_a 9.1320
_cell_length_b 9.1320
_cell_length_c 3.6872
_cell_angle_alpha 90.00
_cell_angle_beta 90.00
_cell_angle_gamma 120.00
loop_
_space_group_symop_operation_xyz
'x,y,z'
loop_
_atom_site_label
_atom_site_fract_x
_atom_site_fract_y
_atom_site_fract_z
_atom_site_occupancy
Nd1 0.3333 0.6667 0.0000 1
Nd2 0.6667 0.3333 0.0000 1
Y1 0.0000 0.3956 0.5000 1
Y2 0.3956 0.0000 0.5000 1
Y3 0.6044 0.6044 0.5000 1
Th1 0.0000 0.7751 0.0000 1
Th2 0.2249 0.2249 0.0000 1
Th3 0.7751 0.0000 0.0000 1
```